The following is a calculated powder diffractogram of CaAc7Sn3. It was derived from a cell relaxed with PBE, using Cu Kα X-rays.
Lines closer than 0.1° are merged.

Most intense lines, 2θ from 5° to 70°, by intensity:
- 2θ 27.76, 3.214 Å, intensity 100
- 2θ 26.94, 3.310 Å, intensity 75
- 2θ 36.10, 2.488 Å, intensity 43
- 2θ 30.56, 2.925 Å, intensity 42
- 2θ 31.68, 2.825 Å, intensity 41
- 2θ 28.65, 3.116 Å, intensity 37
- 2θ 24.80, 3.590 Å, intensity 31
- 2θ 25.53, 3.489 Å, intensity 25
- 2θ 40.32, 2.237 Å, intensity 24
- 2θ 43.60, 2.076 Å, intensity 20

Cell and atoms:
Cell lengths 7.6128, 12.4628, 9.6361 Å; angles 90.00, 99.40, 90.00 degrees
Space group C2/m (No. 12)
Symmetry-distinct sites (fractional):
Ca: 0.0000 0.0000 0.0000 [2 per cell]
Ac: 0.0000 0.0000 0.5000 [2 per cell]
Ac: 0.1295 0.5000 0.6930 [4 per cell]
Ac: 0.2141 0.2977 0.2024 [8 per cell]
Sn: 0.0000 0.2767 0.5000 [4 per cell]
Sn: 0.0000 0.5000 0.0000 [2 per cell]

---

The following is a calculated powder diffractogram of Sr4Ca8Ac. It was derived from a cell relaxed with PBE, using Cu Kα X-rays.
Lines closer than 0.1° are merged.

Most intense lines, 2θ from 5° to 70°, by intensity:
- 2θ 27.17, 3.282 Å, intensity 100
- 2θ 5.34, 16.561 Å, intensity 22
- 2θ 30.95, 2.889 Å, intensity 18
- 2θ 31.18, 2.869 Å, intensity 18
- 2θ 32.27, 2.774 Å, intensity 17
- 2θ 52.79, 1.734 Å, intensity 15
- 2θ 53.08, 1.725 Å, intensity 15
- 2θ 54.50, 1.684 Å, intensity 14
- 2θ 17.64, 5.028 Å, intensity 13
- 2θ 44.51, 2.036 Å, intensity 13

Cell and atoms:
Cell lengths 12.4918, 5.7777, 16.5799 Å; angles 90.00, 92.77, 90.00 degrees
Space group Cm (No. 8)
Symmetry-distinct sites (fractional):
Sr: 0.0000 0.0000 0.0000 [2 per cell]
Sr: 0.0371 0.5000 0.3819 [2 per cell]
Sr: 0.0744 0.0000 0.7664 [2 per cell]
Sr: 0.3457 0.5000 0.4637 [2 per cell]
Ca: 0.1175 0.5000 0.1532 [2 per cell]
Ca: 0.1553 0.0000 0.5395 [2 per cell]
Ca: 0.1935 0.5000 0.9234 [2 per cell]
Ca: 0.2278 0.0000 0.3032 [2 per cell]
Ca: 0.2668 0.5000 0.6920 [2 per cell]
Ca: 0.3790 0.0000 0.8458 [2 per cell]
Ca: 0.4202 0.5000 0.2274 [2 per cell]
Ca: 0.4599 0.0000 0.6177 [2 per cell]
Ac: 0.3072 0.0000 0.0781 [2 per cell]

---

The following is a calculated powder diffractogram of Sr5Ca4Ac4. It was derived from a cell relaxed with PBE, using Cu Kα X-rays.
Lines closer than 0.1° are merged.

Most intense lines, 2θ from 5° to 70°, by intensity:
- 2θ 26.90, 3.315 Å, intensity 100
- 2θ 8.57, 10.315 Å, intensity 42
- 2θ 31.26, 2.861 Å, intensity 33
- 2θ 53.03, 1.727 Å, intensity 28
- 2θ 44.56, 2.033 Å, intensity 25
- 2θ 30.94, 2.890 Å, intensity 17
- 2θ 52.62, 1.739 Å, intensity 16
- 2θ 12.13, 7.294 Å, intensity 16
- 2θ 20.53, 4.326 Å, intensity 13
- 2θ 55.44, 1.657 Å, intensity 12

Cell and atoms:
Cell lengths 14.5879, 14.5879, 5.7799 Å; angles 90.00, 90.00, 90.00 degrees
Space group I4/m (No. 87)
Symmetry-distinct sites (fractional):
Sr: 0.0000 0.0000 0.0000 [2 per cell]
Sr: 0.0374 0.8025 0.5000 [8 per cell]
Ca: 0.1562 0.2356 0.0000 [8 per cell]
Ac: 0.0705 0.6099 0.0000 [8 per cell]

---

The following is a calculated powder diffractogram of Sr5CaAc. It was derived from a cell relaxed with PBE, using Cu Kα X-rays.
Lines closer than 0.1° are merged.

Most intense lines, 2θ from 5° to 70°, by intensity:
- 2θ 28.23, 3.161 Å, intensity 100
- 2θ 26.45, 3.370 Å, intensity 69
- 2θ 23.61, 3.769 Å, intensity 62
- 2θ 14.64, 6.051 Å, intensity 52
- 2θ 23.04, 3.860 Å, intensity 52
- 2θ 27.21, 3.278 Å, intensity 51
- 2θ 27.40, 3.255 Å, intensity 51
- 2θ 29.38, 3.040 Å, intensity 50
- 2θ 25.72, 3.464 Å, intensity 33
- 2θ 15.79, 5.611 Å, intensity 31

Cell and atoms:
Cell lengths 8.0696, 27.2380, 7.6363 Å; angles 90.00, 117.81, 90.00 degrees
Space group C2/c (No. 15)
Symmetry-distinct sites (fractional):
Sr: 0.0000 0.1230 0.2500 [4 per cell]
Sr: 0.2359 0.2206 0.7312 [8 per cell]
Sr: 0.2456 0.0273 0.9992 [8 per cell]
Ca: 0.0000 0.3994 0.2500 [4 per cell]
Ac: 0.0000 0.3487 0.7500 [4 per cell]

---

The following is a calculated powder diffractogram of Sr6CaAc2. It was derived from a cell relaxed with PBE, using Cu Kα X-rays.
Lines closer than 0.1° are merged.

Most intense lines, 2θ from 5° to 70°, by intensity:
- 2θ 28.90, 3.089 Å, intensity 100
- 2θ 25.71, 3.465 Å, intensity 73
- 2θ 27.57, 3.236 Å, intensity 62
- 2θ 5.67, 15.589 Å, intensity 62
- 2θ 26.49, 3.365 Å, intensity 60
- 2θ 25.04, 3.556 Å, intensity 57
- 2θ 51.76, 1.766 Å, intensity 54
- 2θ 30.46, 2.935 Å, intensity 46
- 2θ 44.11, 2.053 Å, intensity 44
- 2θ 36.20, 2.482 Å, intensity 42

Cell and atoms:
Cell lengths 4.1066, 4.1066, 31.1776 Å; angles 90.00, 90.00, 120.00 degrees
Space group P-6m2 (No. 187)
Symmetry-distinct sites (fractional):
Sr: 0.0000 0.0000 0.0638 [2 per cell]
Sr: 0.0000 0.0000 0.2781 [2 per cell]
Sr: 0.3333 0.6667 0.3920 [2 per cell]
Ca: 0.0000 0.0000 0.5000 [1 per cell]
Ac: 0.3333 0.6667 0.1708 [2 per cell]

---

The following is a calculated powder diffractogram of Sr9Ca4Ac. It was derived from a cell relaxed with PBE, using Cu Kα X-rays.
Lines closer than 0.1° are merged.

Most intense lines, 2θ from 5° to 70°, by intensity:
- 2θ 27.42, 3.252 Å, intensity 100
- 2θ 27.82, 3.207 Å, intensity 35
- 2θ 11.28, 7.843 Å, intensity 27
- 2θ 24.40, 3.648 Å, intensity 26
- 2θ 30.68, 2.914 Å, intensity 23
- 2θ 47.33, 1.921 Å, intensity 20
- 2θ 28.66, 3.115 Å, intensity 18
- 2θ 45.29, 2.002 Å, intensity 16
- 2θ 20.87, 4.256 Å, intensity 13
- 2θ 31.85, 2.810 Å, intensity 13

Cell and atoms:
Cell lengths 11.6558, 11.6558, 12.4584 Å; angles 90.00, 90.00, 120.00 degrees
Space group P6_3/mmc (No. 194)
Symmetry-distinct sites (fractional):
Sr: 0.0707 0.5353 0.2500 [6 per cell]
Sr: 0.2005 0.4010 0.5410 [12 per cell]
Ca: 0.0000 0.0000 0.0000 [2 per cell]
Ca: 0.1078 0.2156 0.2500 [6 per cell]
Ac: 0.3333 0.6667 0.7500 [2 per cell]

---

The following is a calculated powder diffractogram of Sr6Ca2Ac. It was derived from a cell relaxed with PBE, using Cu Kα X-rays.
Lines closer than 0.1° are merged.

Most intense lines, 2θ from 5° to 70°, by intensity:
- 2θ 27.25, 3.273 Å, intensity 100
- 2θ 26.85, 3.321 Å, intensity 95
- 2θ 27.37, 3.259 Å, intensity 49
- 2θ 27.01, 3.301 Å, intensity 47
- 2θ 47.64, 1.909 Å, intensity 41
- 2θ 38.62, 2.331 Å, intensity 40
- 2θ 11.62, 7.618 Å, intensity 27
- 2θ 15.44, 5.740 Å, intensity 22
- 2θ 38.83, 2.319 Å, intensity 21
- 2θ 47.80, 1.903 Å, intensity 21

Cell and atoms:
Cell lengths 17.1864, 11.5249, 10.3638 Å; angles 90.00, 117.83, 90.00 degrees
Space group C2/c (No. 15)
Symmetry-distinct sites (fractional):
Sr: 0.0875 0.0792 0.1683 [8 per cell]
Sr: 0.0873 0.4200 0.1679 [8 per cell]
Sr: 0.1661 0.2502 0.5868 [8 per cell]
Ca: 0.2502 0.0928 0.0004 [8 per cell]
Ac: 0.0000 0.2502 0.7500 [4 per cell]

---

The following is a calculated powder diffractogram of SrCa4Ac2. It was derived from a cell relaxed with PBE, using Cu Kα X-rays.
Lines closer than 0.1° are merged.

Most intense lines, 2θ from 5° to 70°, by intensity:
- 2θ 7.67, 11.525 Å, intensity 100
- 2θ 29.62, 3.016 Å, intensity 67
- 2θ 29.00, 3.079 Å, intensity 67
- 2θ 26.72, 3.337 Å, intensity 65
- 2θ 27.08, 3.293 Å, intensity 41
- 2θ 33.30, 2.691 Å, intensity 38
- 2θ 53.93, 1.700 Å, intensity 36
- 2θ 45.71, 1.985 Å, intensity 30
- 2θ 25.98, 3.429 Å, intensity 29
- 2θ 30.99, 2.885 Å, intensity 18

Cell and atoms:
Cell lengths 3.9699, 3.9699, 69.1519 Å; angles 90.00, 90.00, 120.00 degrees
Space group R-3m (No. 166, hexagonal axes)
Symmetry-distinct sites (fractional):
Sr: 0.0000 0.0000 0.0000 [3 per cell]
Ca: 0.0000 0.0000 0.0959 [6 per cell]
Ca: 0.0000 0.0000 0.3828 [6 per cell]
Ac: 0.0000 0.0000 0.1893 [6 per cell]

---

The following is a calculated powder diffractogram of Sr2Ca17Ac2. It was derived from a cell relaxed with PBE, using Cu Kα X-rays.
Lines closer than 0.1° are merged.

Most intense lines, 2θ from 5° to 70°, by intensity:
- 2θ 27.80, 3.209 Å, intensity 100
- 2θ 27.96, 3.191 Å, intensity 89
- 2θ 28.90, 3.089 Å, intensity 86
- 2θ 9.05, 9.773 Å, intensity 77
- 2θ 26.87, 3.318 Å, intensity 65
- 2θ 19.27, 4.607 Å, intensity 54
- 2θ 21.15, 4.200 Å, intensity 53
- 2θ 10.08, 8.772 Å, intensity 51
- 2θ 13.80, 6.419 Å, intensity 44
- 2θ 24.55, 3.627 Å, intensity 44

Cell and atoms:
Cell lengths 17.5553, 10.8234, 9.7789 Å; angles 90.00, 91.98, 90.00 degrees
Space group C2 (No. 5)
Symmetry-distinct sites (fractional):
Sr: 0.1375 0.0000 0.2189 [4 per cell]
Ca: 0.0000 0.3123 0.5000 [2 per cell]
Ca: 0.0000 0.5481 0.0000 [2 per cell]
Ca: 0.0000 0.9655 0.5000 [2 per cell]
Ca: 0.0570 0.2132 0.8583 [4 per cell]
Ca: 0.0568 0.6485 0.3388 [4 per cell]
Ca: 0.0751 0.8747 0.8680 [4 per cell]
Ca: 0.1493 0.3631 0.2029 [4 per cell]
Ca: 0.1526 0.4749 0.6968 [4 per cell]
Ca: 0.1848 0.7910 0.5919 [4 per cell]
Ca: 0.1923 0.1190 0.6021 [4 per cell]
Ac: 0.2233 0.6686 0.0399 [4 per cell]

---

The following is a calculated powder diffractogram of SrCa5Ac5. It was derived from a cell relaxed with PBE, using Cu Kα X-rays.
Lines closer than 0.1° are merged.

Most intense lines, 2θ from 5° to 70°, by intensity:
- 2θ 6.82, 12.954 Å, intensity 100
- 2θ 32.66, 2.742 Å, intensity 53
- 2θ 14.64, 6.052 Å, intensity 40
- 2θ 29.04, 3.075 Å, intensity 29
- 2θ 30.33, 2.947 Å, intensity 27
- 2θ 27.54, 3.239 Å, intensity 19
- 2θ 31.33, 2.855 Å, intensity 19
- 2θ 25.34, 3.515 Å, intensity 18
- 2θ 16.17, 5.483 Å, intensity 18
- 2θ 52.03, 1.758 Å, intensity 16

Cell and atoms:
Cell lengths 6.9881, 6.9881, 12.9544 Å; angles 90.00, 90.00, 120.00 degrees
Space group P-6m2 (No. 187)
Symmetry-distinct sites (fractional):
Sr: 0.0000 0.0000 0.0000 [1 per cell]
Ca: 0.0000 0.0000 0.3336 [2 per cell]
Ca: 0.3333 0.6667 0.1889 [2 per cell]
Ca: 0.6667 0.3333 0.0000 [1 per cell]
Ac: 0.0026 0.5013 0.5000 [3 per cell]
Ac: 0.6667 0.3333 0.2644 [2 per cell]

---

The following is a calculated powder diffractogram of Sr3Ca4Ac. It was derived from a cell relaxed with PBE, using Cu Kα X-rays.
Lines closer than 0.1° are merged.

Most intense lines, 2θ from 5° to 70°, by intensity:
- 2θ 26.87, 3.318 Å, intensity 100
- 2θ 27.56, 3.237 Å, intensity 58
- 2θ 33.06, 2.709 Å, intensity 40
- 2θ 8.95, 9.881 Å, intensity 35
- 2θ 13.37, 6.621 Å, intensity 34
- 2θ 43.15, 2.097 Å, intensity 19
- 2θ 32.33, 2.769 Å, intensity 17
- 2θ 55.31, 1.661 Å, intensity 17
- 2θ 43.98, 2.059 Å, intensity 17
- 2θ 48.29, 1.885 Å, intensity 14

Cell and atoms:
Cell lengths 3.8704, 13.2421, 14.8426 Å; angles 90.00, 90.00, 90.00 degrees
Space group Immm (No. 71)
Symmetry-distinct sites (fractional):
Sr: 0.0000 0.0000 0.0000 [2 per cell]
Sr: 0.0000 0.5000 0.2368 [4 per cell]
Ca: 0.0000 0.2492 0.3695 [8 per cell]
Ac: 0.0000 0.0000 0.5000 [2 per cell]

---

The following is a calculated powder diffractogram of Sr3CaAc2. It was derived from a cell relaxed with PBE, using Cu Kα X-rays.
Lines closer than 0.1° are merged.

Most intense lines, 2θ from 5° to 70°, by intensity:
- 2θ 28.65, 3.116 Å, intensity 100
- 2θ 28.52, 3.130 Å, intensity 50
- 2θ 26.93, 3.311 Å, intensity 39
- 2θ 12.46, 7.103 Å, intensity 29
- 2θ 52.57, 1.741 Å, intensity 25
- 2θ 48.64, 1.872 Å, intensity 23
- 2θ 25.22, 3.532 Å, intensity 23
- 2θ 44.26, 2.046 Å, intensity 20
- 2θ 53.72, 1.706 Å, intensity 17
- 2θ 37.22, 2.416 Å, intensity 17

Cell and atoms:
Cell lengths 6.6228, 12.2110, 7.1025 Å; angles 90.00, 90.00, 90.00 degrees
Space group Pmmn (No. 59, origin choice 2)
Symmetry-distinct sites (fractional):
Sr: 0.2500 0.0814 0.0895 [4 per cell]
Sr: 0.2500 0.2500 0.5887 [2 per cell]
Ca: 0.2500 0.7500 0.0814 [2 per cell]
Ac: 0.2500 0.5876 0.5796 [4 per cell]